Structure and calculated PXRD pattern of MnP2O7 (the PBE+U geometry in Alexandria; λ = 1.5418 Å (Cu Kα)).
Lines closer than 0.1° are merged.

Cell and atoms:
Lattice parameters (Å, degrees): 5.092 5.092 4.467 98.33 98.33 100.41
Fractional positions:
Mn 0.000 0.000 0.000
P 0.444 0.150 0.591
P 0.850 0.556 0.409
O 0.041 0.698 0.714
O 0.254 0.226 0.812
O 0.302 0.959 0.286
O 0.564 0.436 0.500
O 0.674 0.030 0.731
O 0.774 0.746 0.188
O 0.970 0.326 0.269

Main lines, sorted by position (10 to 80 degrees two-theta):
two_theta	Rel. int.
17.99	80
22.73	65
24.80	34
29.67	100
30.73	68
30.88	76
44.48	26
44.70	24